# 1
Theoretical powder XRD pattern
Compound: Tb2ErPd2PtPb3
Radiation: Cu Ka
Structure: a PBE-relaxed structure

Unit cell a=3.934 b=7.785 c=7.785 alpha=119.85 beta=90.00 gamma=90.00
Fractional coordinates of all 9 atoms:
Tb 0.000 0.199 0.801
Tb 0.000 0.801 0.199
Er 0.000 0.403 0.403
Pd 0.500 0.136 0.467
Pd 0.500 0.467 0.136
Pt 0.000 0.799 0.799
Pb 0.500 0.068 0.068
Pb 0.500 0.533 0.800
Pb 0.500 0.800 0.533

Largest 8 diffraction maxima, low angle first, 2θ = 15–90°:
- 2θ 32.34, I 1000
- 2θ 35.04, I 710
- 2θ 35.19, I 407
- 2θ 40.09, I 457
- 2θ 42.23, I 310
- 2θ 46.14, I 224
- 2θ 62.75, I 247
- 2θ 64.76, I 234


# 2
Theoretical powder XRD pattern
Compound: Pr4H9
Radiation: Cu Ka
Structure: a PBE-relaxed structure

Unit cell a=6.743 b=6.743 c=6.743 alpha=132.04 beta=132.04 gamma=70.16
Fractional coordinates of all 13 atoms:
Pr 0.000 0.500 0.500
Pr 0.246 0.246 0.000
Pr 0.500 0.000 0.500
Pr 0.754 0.754 0.000
H 0.000 0.000 0.000
H 0.132 0.132 0.518
H 0.132 0.614 0.000
H 0.386 0.386 0.518
H 0.386 0.868 0.000
H 0.614 0.132 0.000
H 0.614 0.614 0.482
H 0.868 0.386 0.000
H 0.868 0.868 0.482

Largest 8 diffraction maxima, low angle first, 2θ = 15–90°:
- 2θ 28.14, I 1000
- 2θ 32.45, I 166
- 2θ 32.68, I 328
- 2θ 46.72, I 259
- 2θ 46.89, I 129
- 2θ 55.29, I 150
- 2θ 55.58, I 299
- 2θ 58.18, I 127


# 3
Theoretical powder XRD pattern
Compound: SmYAu6
Radiation: Cu Ka
Structure: a PBE-relaxed structure

Unit cell a=5.062 b=6.257 c=5.165 alpha=90.00 beta=90.00 gamma=90.00
Fractional coordinates of all 8 atoms:
Sm 0.000 0.000 0.000
Y 0.500 0.500 0.313
Au 0.000 0.261 0.495
Au 0.000 0.500 0.990
Au 0.000 0.739 0.495
Au 0.500 0.000 0.332
Au 0.500 0.247 0.819
Au 0.500 0.753 0.819

Largest 8 diffraction maxima, low angle first, 2θ = 15–90°:
- 2θ 33.49, I 257
- 2θ 35.46, I 415
- 2θ 38.04, I 1000
- 2θ 39.16, I 494
- 2θ 49.58, I 172
- 2θ 61.48, I 168
- 2θ 65.38, I 207
- 2θ 73.03, I 204


# 4
Theoretical powder XRD pattern
Compound: Th6CBr14
Radiation: Cu Ka
Structure: a PBE-relaxed structure

Unit cell a=10.911 b=10.911 c=13.290 alpha=90.00 beta=90.00 gamma=83.88
Fractional coordinates of all 42 atoms:
Th 0.045 0.185 0.883
Th 0.147 0.853 0.894
Th 0.185 0.045 0.117
Th 0.315 0.455 0.617
Th 0.353 0.647 0.394
Th 0.455 0.315 0.383
Th 0.545 0.685 0.617
Th 0.647 0.353 0.606
Th 0.685 0.545 0.383
Th 0.815 0.955 0.883
Th 0.853 0.147 0.106
Th 0.955 0.815 0.117
C 0.000 0.000 0.000
C 0.500 0.500 0.500
Br 0.036 0.214 0.250
Br 0.103 0.397 0.750
Br 0.120 0.631 0.010
Br 0.131 0.620 0.510
Br 0.159 0.841 0.265
Br 0.214 0.036 0.750
Br 0.248 0.248 0.500
Br 0.252 0.252 0.000
Br 0.286 0.464 0.250
Br 0.341 0.659 0.765
Br 0.369 0.880 0.010
Br 0.380 0.869 0.510
Br 0.397 0.103 0.250
Br 0.464 0.286 0.750
Br 0.536 0.714 0.250
Br 0.603 0.897 0.750
Br 0.620 0.131 0.490
Br 0.631 0.120 0.990
Br 0.659 0.341 0.235
Br 0.714 0.536 0.750
Br 0.748 0.748 0.000
Br 0.752 0.752 0.500
Br 0.786 0.964 0.250
Br 0.841 0.159 0.735
Br 0.869 0.380 0.490
Br 0.880 0.369 0.990
Br 0.897 0.603 0.250
Br 0.964 0.786 0.750

Largest 8 diffraction maxima, low angle first, 2θ = 15–90°:
- 2θ 22.04, I 416
- 2θ 28.53, I 274
- 2θ 31.79, I 422
- 2θ 32.34, I 1000
- 2θ 34.02, I 395
- 2θ 35.91, I 271
- 2θ 43.39, I 453
- 2θ 44.66, I 268


# 5
Theoretical powder XRD pattern
Compound: TbSmAg2Sn2
Radiation: Cu Ka
Structure: a PBE-relaxed structure

Unit cell a=4.755 b=4.755 c=7.432 alpha=90.00 beta=90.00 gamma=120.00
Fractional coordinates of all 6 atoms:
Tb 0.000 0.000 0.000
Sm 0.000 0.000 0.499
Ag 0.333 0.667 0.189
Ag 0.667 0.333 0.697
Sn 0.333 0.667 0.781
Sn 0.667 0.333 0.276

Largest 8 diffraction maxima, low angle first, 2θ = 15–90°:
- 2θ 32.45, I 1000
- 2θ 37.84, I 774
- 2θ 42.59, I 159
- 2θ 50.69, I 285
- 2θ 63.55, I 156
- 2θ 64.96, I 270
- 2θ 68.34, I 136
- 2θ 89.84, I 119


# 6
Theoretical powder XRD pattern
Compound: BaSmAgTeSe2
Radiation: Cu Ka
Structure: a PBE-relaxed structure

Unit cell a=7.779 b=7.779 c=11.389 alpha=90.00 beta=90.00 gamma=147.49
Fractional coordinates of all 12 atoms:
Ba 0.226 0.774 0.750
Ba 0.774 0.226 0.250
Sm 0.000 0.000 0.000
Sm 0.000 0.000 0.500
Ag 0.477 0.523 0.250
Ag 0.523 0.477 0.750
Te 0.094 0.906 0.250
Te 0.906 0.094 0.750
Se 0.371 0.629 0.061
Se 0.371 0.629 0.439
Se 0.629 0.371 0.561
Se 0.629 0.371 0.939

Largest 8 diffraction maxima, low angle first, 2θ = 15–90°:
- 2θ 28.33, I 571
- 2θ 31.47, I 1000
- 2θ 39.86, I 309
- 2θ 41.47, I 228
- 2θ 43.47, I 122
- 2θ 48.68, I 176
- 2θ 52.95, I 167
- 2θ 69.75, I 121


# 7
Theoretical powder XRD pattern
Compound: ZnOs
Radiation: Cu Ka
Structure: a PBE-relaxed structure

Unit cell a=4.460 b=8.179 c=4.626 alpha=90.00 beta=90.00 gamma=90.00
Fractional coordinates of all 12 atoms:
Zn 0.000 0.000 0.000
Zn 0.000 0.500 0.500
Zn 0.500 0.170 0.146
Zn 0.500 0.330 0.646
Zn 0.500 0.670 0.646
Zn 0.500 0.830 0.146
Os 0.000 0.167 0.507
Os 0.000 0.333 0.007
Os 0.000 0.667 0.007
Os 0.000 0.833 0.507
Os 0.500 0.000 0.635
Os 0.500 0.500 0.135

Largest 8 diffraction maxima, low angle first, 2θ = 15–90°:
- 2θ 22.08, I 267
- 2θ 38.32, I 159
- 2θ 38.94, I 186
- 2θ 40.45, I 369
- 2θ 43.55, I 1000
- 2θ 44.10, I 326
- 2θ 75.72, I 193
- 2θ 84.19, I 160


# 8
Theoretical powder XRD pattern
Compound: TbDy2Sn3Ir2Pd
Radiation: Cu Ka
Structure: a PBE-relaxed structure

Unit cell a=3.928 b=7.553 c=7.553 alpha=120.05 beta=90.00 gamma=90.00
Fractional coordinates of all 9 atoms:
Tb 0.000 0.000 0.000
Dy 0.000 0.410 0.820
Dy 0.000 0.820 0.410
Sn 0.500 0.147 0.411
Sn 0.500 0.411 0.147
Sn 0.500 0.674 0.674
Ir 0.500 0.077 0.743
Ir 0.500 0.743 0.077
Pd 0.000 0.411 0.411

Largest 8 diffraction maxima, low angle first, 2θ = 15–90°:
- 2θ 32.91, I 1000
- 2θ 35.73, I 920
- 2θ 36.35, I 419
- 2θ 41.42, I 456
- 2θ 43.25, I 262
- 2θ 46.23, I 262
- 2θ 63.79, I 258
- 2θ 66.74, I 323


# 9
Theoretical powder XRD pattern
Compound: GdAu6
Radiation: Cu Ka
Structure: a PBE-relaxed structure

Unit cell a=10.440 b=10.440 c=9.826 alpha=90.00 beta=90.00 gamma=90.00
Fractional coordinates of all 56 atoms:
Gd 0.074 0.074 0.212
Gd 0.074 0.426 0.712
Gd 0.426 0.074 0.712
Gd 0.426 0.426 0.212
Gd 0.574 0.574 0.788
Gd 0.574 0.926 0.288
Gd 0.926 0.574 0.288
Gd 0.926 0.926 0.788
Au 0.000 0.000 0.500
Au 0.000 0.500 0.000
Au 0.013 0.681 0.578
Au 0.013 0.819 0.078
Au 0.123 0.699 0.855
Au 0.123 0.801 0.355
Au 0.148 0.148 0.681
Au 0.148 0.352 0.181
Au 0.181 0.513 0.422
Au 0.181 0.987 0.922
Au 0.199 0.623 0.145
Au 0.199 0.877 0.645
Au 0.250 0.250 0.436
Au 0.250 0.250 0.936
Au 0.301 0.623 0.645
Au 0.301 0.877 0.145
Au 0.319 0.513 0.922
Au 0.319 0.987 0.422
Au 0.352 0.148 0.181
Au 0.352 0.352 0.681
Au 0.377 0.699 0.355
Au 0.377 0.801 0.855
Au 0.487 0.681 0.078
Au 0.487 0.819 0.578
Au 0.500 0.000 0.000
Au 0.500 0.500 0.500
Au 0.513 0.181 0.422
Au 0.513 0.319 0.922
Au 0.623 0.199 0.145
Au 0.623 0.301 0.645
Au 0.648 0.648 0.319
Au 0.648 0.852 0.819
Au 0.681 0.013 0.578
Au 0.681 0.487 0.078
Au 0.699 0.123 0.855
Au 0.699 0.377 0.355
Au 0.750 0.750 0.064
Au 0.750 0.750 0.564
Au 0.801 0.123 0.355
Au 0.801 0.377 0.855
Au 0.819 0.013 0.078
Au 0.819 0.487 0.578
Au 0.852 0.648 0.819
Au 0.852 0.852 0.319
Au 0.877 0.199 0.645
Au 0.877 0.301 0.145
Au 0.987 0.181 0.922
Au 0.987 0.319 0.422

Largest 8 diffraction maxima, low angle first, 2θ = 15–90°:
- 2θ 36.53, I 236
- 2θ 36.65, I 568
- 2θ 37.66, I 1000
- 2θ 38.73, I 415
- 2θ 39.08, I 271
- 2θ 40.06, I 788
- 2θ 41.62, I 212
- 2θ 65.82, I 186


# 10
Theoretical powder XRD pattern
Compound: Mo2IrOs5
Radiation: Cu Ka
Structure: a PBE-relaxed structure

Unit cell a=4.396 b=5.540 c=9.595 alpha=90.00 beta=90.00 gamma=90.00
Fractional coordinates of all 16 atoms:
Mo 0.000 0.000 0.000
Mo 0.000 0.500 0.500
Mo 0.500 0.000 0.331
Mo 0.500 0.500 0.831
Ir 0.000 0.000 0.499
Ir 0.000 0.500 0.999
Os 0.000 0.248 0.246
Os 0.000 0.252 0.746
Os 0.000 0.748 0.746
Os 0.000 0.752 0.246
Os 0.500 0.000 0.832
Os 0.500 0.250 0.083
Os 0.500 0.250 0.583
Os 0.500 0.500 0.332
Os 0.500 0.750 0.083
Os 0.500 0.750 0.583

Largest 8 diffraction maxima, low angle first, 2θ = 15–90°:
- 2θ 37.49, I 243
- 2θ 41.07, I 252
- 2θ 42.95, I 1000
- 2θ 56.81, I 147
- 2θ 67.64, I 174
- 2θ 76.12, I 188
- 2θ 82.28, I 207
- 2θ 83.55, I 150


# 11
Theoretical powder XRD pattern
Compound: GdAlPdPt
Radiation: Cu Ka
Structure: a PBE-relaxed structure

Unit cell a=4.360 b=4.360 c=9.307 alpha=90.00 beta=90.00 gamma=120.00
Fractional coordinates of all 8 atoms:
Gd 0.333 0.667 0.253
Gd 0.667 0.333 0.747
Al 0.000 0.000 0.000
Al 0.000 0.000 0.500
Pd 0.333 0.667 0.922
Pd 0.667 0.333 0.078
Pt 0.333 0.667 0.584
Pt 0.667 0.333 0.416

Largest 8 diffraction maxima, low angle first, 2θ = 15–90°:
- 2θ 23.56, I 428
- 2θ 37.52, I 1000
- 2θ 41.42, I 570
- 2θ 57.11, I 297
- 2θ 65.00, I 84
- 2θ 72.97, I 286
- 2θ 75.18, I 154
- 2θ 75.54, I 97


# 12
Theoretical powder XRD pattern
Compound: PmSmBi2
Radiation: Cu Ka
Structure: a PBE-relaxed structure

Unit cell a=4.540 b=4.540 c=6.420 alpha=90.00 beta=90.00 gamma=90.00
Fractional coordinates of all 4 atoms:
Pm 0.000 0.000 0.000
Sm 0.500 0.500 0.500
Bi 0.000 0.000 0.500
Bi 0.500 0.500 0.000

Largest 8 diffraction maxima, low angle first, 2θ = 15–90°:
- 2θ 24.01, I 48
- 2θ 27.79, I 1000
- 2θ 39.71, I 784
- 2θ 49.16, I 286
- 2θ 57.41, I 136
- 2θ 64.96, I 376
- 2θ 72.07, I 280
- 2θ 85.58, I 92